The following is a theoretical X-ray diffraction stick pattern of Na3CoO3. It was derived from a structure optimized by DFT (GGA+U), using Cu Kα.

The 10 most intense peaks (15° ≤ 2θ ≤ 90°), in order of rising 2θ:
2θ/deg  Rel. int.  (hkl)
16.68  13  1 1 0
20.46  43  1 1 1
23.67  21  2 0 0
26.51  14  2 0 1
29.10  12  2 1 1
33.73  100  2 2 0
39.77  12  3 1 1
45.13  16  3 2 1
48.44  22  4 0 0
60.32  33  4 2 2

```
data_Na3CoO3
_cell_length_a 7.5169
_cell_length_b 7.5169
_cell_length_c 7.5169
_cell_angle_alpha 90.00
_cell_angle_beta 90.00
_cell_angle_gamma 90.00
_space_group_name_H-M_alt 'P 21 3'
_space_group_IT_number 198
_space_group_name_Hall 'P 2ac 2ab 3'
loop_
_atom_site_label
_atom_site_fract_x
_atom_site_fract_y
_atom_site_fract_z
Na1 0.0327 0.0327 0.0327
Na2 0.2124 0.2876 0.7124
Na3 0.2330 0.7330 0.7670
Co1 0.0216 0.5216 0.9784
O1 0.0015 0.2235 0.4012
```

=====

The following is a theoretical X-ray diffraction stick pattern of Y2Mn3Sb3O14. It was derived from a structure optimized by DFT (GGA+U), using Cu Kα.

The 10 most intense peaks (15° ≤ 2θ ≤ 90°), in order of rising 2θ:
2θ/deg  Rel. int.  (hkl)
29.55  52  0 0 4
29.93  100  2 2 -2
30.67  46  4 0 0
34.66  36  2 2 2
35.08  17  4 0 -4
49.41  34  2 2 -6
49.59  17  0 4 0
50.08  16  4 0 4
50.87  31  6 2 -2
58.79  28  0 4 4

```
data_Y2Mn3Sb3O14
_cell_length_a 12.3414
_cell_length_b 7.3532
_cell_length_c 12.7965
_cell_angle_alpha 90.00
_cell_angle_beta 109.11
_cell_angle_gamma 90.00
_space_group_name_H-M_alt 'C 1 2/m 1'
_space_group_IT_number 12
loop_
_space_group_symop_operation_xyz
'x,y,z'
'-x,-y,-z'
'-x,y,-z'
'x,-y,z'
'x+1/2,y+1/2,z'
'-x+1/2,-y+1/2,-z'
'-x+1/2,y+1/2,-z'
'x+1/2,-y+1/2,z'
loop_
_atom_site_label
_atom_site_fract_x
_atom_site_fract_y
_atom_site_fract_z
Y1 0.0001 0.2500 0.2500
Mn1 0.0000 0.0000 0.0000
Mn2 0.0000 0.0000 0.5000
Mn3 0.0000 0.5000 0.0000
Mn4 0.0000 0.5000 0.5000
Mn5 0.2501 0.0000 0.2498
Sb1 0.2500 0.0000 0.7500
Sb2 0.2500 0.2500 0.0000
Sb3 0.2500 0.2500 0.5000
O1 0.0682 0.0000 0.1856
O2 0.0682 0.5000 0.6857
O3 0.0845 0.0000 0.6763
O4 0.0839 0.1990 0.4561
O5 0.0839 0.3010 0.9561
O6 0.0845 0.5000 0.1763
O7 0.2049 0.0000 0.0337
O8 0.2050 0.5000 0.5333
O9 0.2126 0.2057 0.8371
O10 0.2126 0.2942 0.3371
```

=====

The following is a theoretical X-ray diffraction stick pattern of Na7V2O6. It was derived from a structure optimized by DFT (GGA+U), using Cu Kα.

The 10 most intense peaks (15° ≤ 2θ ≤ 90°), in order of rising 2θ:
2θ/deg  Rel. int.  (hkl)
16.34  27  1 1 0
23.58  50  3 1 -1
24.13  41  4 0 0
33.19  43  4 0 2
34.57  100  5 1 -2
34.97  96  2 2 1
37.08  84  1 1 -4
44.44  53  7 1 -1
48.50  23  1 1 5
55.12  34  3 3 -3

```
data_Na7V2O6
_cell_length_a 15.2464
_cell_length_b 5.8324
_cell_length_c 10.6970
_cell_angle_alpha 90.00
_cell_angle_beta 104.60
_cell_angle_gamma 90.00
_space_group_name_H-M_alt 'C 1 2/c 1'
_space_group_IT_number 15
loop_
_space_group_symop_operation_xyz
'x,y,z'
'-x,-y,-z'
'-x,y,-z+1/2'
'x,-y,z+1/2'
'x+1/2,y+1/2,z'
'-x+1/2,-y+1/2,-z'
'-x+1/2,y+1/2,-z+1/2'
'x+1/2,-y+1/2,z+1/2'
loop_
_atom_site_label
_atom_site_fract_x
_atom_site_fract_y
_atom_site_fract_z
Na1 0.0000 0.0780 0.2500
Na2 0.0615 0.3643 0.6500
Na3 0.1691 0.4070 0.4064
Na4 0.2265 0.0385 0.8076
V1 0.1183 0.1108 0.0355
O1 0.0931 0.2349 0.8745
O2 0.1241 0.2700 0.1895
O3 0.1762 0.1671 0.5842
```

=====

The following is a theoretical X-ray diffraction stick pattern of Li2TiFeO4. It was derived from a structure optimized by DFT (GGA+U), using Cu Kα.

The 10 most intense peaks (15° ≤ 2θ ≤ 90°), in order of rising 2θ:
2θ/deg  Rel. int.  (hkl)
22.14  88  0 0 2
29.77  81  1 1 0
37.41  24  1 1 2
42.61  100  2 0 0
45.17  40  0 0 4
48.52  38  2 0 2
55.03  24  1 1 4
61.83  27  2 2 0
63.83  48  2 0 4
79.80  23  2 2 4

```
data_Li2TiFeO4
_cell_length_a 4.2440
_cell_length_b 4.2440
_cell_length_c 8.0301
_cell_angle_alpha 90.00
_cell_angle_beta 90.00
_cell_angle_gamma 90.00
_space_group_name_H-M_alt 'I 4/m m m'
_space_group_IT_number 139
_space_group_name_Hall '-I 4 2'
loop_
_atom_site_label
_atom_site_fract_x
_atom_site_fract_y
_atom_site_fract_z
Li1 0.0000 0.5000 0.2500
Ti1 0.0000 0.0000 0.0000
Fe1 0.0000 0.0000 0.5000
O1 0.0000 0.0000 0.2348
O2 0.0000 0.5000 0.0000
```

=====

The following is a theoretical X-ray diffraction stick pattern of Li2MnF4. It was derived from a structure optimized by DFT (GGA+U), using Cu Kα.

The 10 most intense peaks (15° ≤ 2θ ≤ 90°), in order of rising 2θ:
2θ/deg  Rel. int.  (hkl)
17.56  24  0 2 0
19.66  100  1 1 0
31.95  27  1 3 0
34.74  34  1 1 1
38.12  42  1 2 1
39.92  29  1 4 0
46.09  16  0 4 1
49.69  39  2 2 1
51.17  19  2 4 0
62.56  20  0 6 1

```
data_Li2MnF4
_cell_length_a 5.0497
_cell_length_b 10.0988
_cell_length_c 3.1470
_cell_angle_alpha 90.00
_cell_angle_beta 90.00
_cell_angle_gamma 90.00
_space_group_name_H-M_alt 'P b a m'
_space_group_IT_number 55
loop_
_space_group_symop_operation_xyz
'x,y,z'
'-x,-y,-z'
'-x,-y,z'
'x,y,-z'
'x+1/2,-y+1/2,-z'
'-x+1/2,y+1/2,z'
'-x+1/2,y+1/2,-z'
'x+1/2,-y+1/2,z'
loop_
_atom_site_label
_atom_site_fract_x
_atom_site_fract_y
_atom_site_fract_z
Li1 0.0297 0.2088 0.0000
Mn1 0.0000 0.5000 0.5000
F1 0.2183 0.4018 0.0000
F2 0.2431 0.6731 0.5000
```

=====

The following is a theoretical X-ray diffraction stick pattern of Ca3Cr6Fe4O24. It was derived from a structure optimized by DFT (GGA+U), using Cu Kα.

The 10 most intense peaks (15° ≤ 2θ ≤ 90°), in order of rising 2θ:
2θ/deg  Rel. int.  (hkl)
26.80  51  2 0 -1
27.32  32  2 -1 0
27.78  100  0 2 1
28.01  70  0 1 -3
28.34  46  1 -2 2
29.53  19  -2 1 2
32.32  18  1 2 -3
33.04  26  0 3 -2
54.23  26  -4 1 1
58.53  18  1 3 -6

```
data_Ca3Cr6Fe4O24
_cell_length_a 6.8418
_cell_length_b 8.6230
_cell_length_c 9.9986
_cell_angle_alpha 104.86
_cell_angle_beta 106.99
_cell_angle_gamma 103.40
_space_group_name_H-M_alt 'P -1'
_space_group_IT_number 2
loop_
_space_group_symop_operation_xyz
'x,y,z'
'-x,-y,-z'
loop_
_atom_site_label
_atom_site_fract_x
_atom_site_fract_y
_atom_site_fract_z
Ca1 0.0000 0.0000 0.0000
Ca2 0.2851 0.8027 0.2898
Cr1 0.1058 0.5968 0.8311
Cr2 0.2193 0.1580 0.7644
Cr3 0.3976 0.2409 0.3652
Fe1 0.0422 0.7112 0.5248
Fe2 0.3794 0.4550 0.1032
O1 0.0147 0.2124 0.6500
O2 0.0654 0.5464 0.6408
O3 0.1278 0.5155 0.1503
O4 0.1575 0.8004 0.9205
O5 0.1769 0.9496 0.6822
O6 0.2192 0.2146 0.9467
O7 0.2382 0.2898 0.4622
O8 0.2568 0.0380 0.2356
O9 0.3311 0.5389 0.9234
O10 0.3516 0.7581 0.5192
O11 0.4377 0.3760 0.2691
O12 0.4640 0.2869 0.7790
```

=====

The following is a theoretical X-ray diffraction stick pattern of CuWO4. It was derived from a structure optimized by DFT (GGA+U), using Cu Kα.

The 10 most intense peaks (15° ≤ 2θ ≤ 90°), in order of rising 2θ:
2θ/deg  Rel. int.  (hkl)
15.68  100  0 0 1
16.10  52  0 1 1
19.42  33  1 0 1
22.26  30  1 -1 0
24.17  20  1 1 0
26.52  46  1 0 -1
31.17  32  1 0 2
31.65  40  1 2 1
33.96  21  -1 2 1
34.86  25  2 1 1

```
data_CuWO4
_cell_length_a 5.4729
_cell_length_b 6.4294
_cell_length_c 6.7209
_cell_angle_alpha 61.79
_cell_angle_beta 72.71
_cell_angle_gamma 85.86
_space_group_name_H-M_alt 'P -1'
_space_group_IT_number 2
loop_
_space_group_symop_operation_xyz
'x,y,z'
'-x,-y,-z'
loop_
_atom_site_label
_atom_site_fract_x
_atom_site_fract_y
_atom_site_fract_z
Cu1 0.0810 0.2714 0.1337
W1 0.2418 0.8127 0.1491
O1 0.0625 0.0361 0.7801
O2 0.1424 0.5833 0.0800
O3 0.2797 0.6317 0.4258
O4 0.4083 0.1291 0.0799
```

=====

The following is a theoretical X-ray diffraction stick pattern of MgMn4Cd2O8. It was derived from a structure optimized by DFT (GGA+U), using Cu Kα.

The 10 most intense peaks (15° ≤ 2θ ≤ 90°), in order of rising 2θ:
2θ/deg  Rel. int.  (hkl)
16.43  27  1 1 0
26.60  44  2 0 0
28.10  52  2 0 -2
30.74  51  1 1 1
31.73  54  1 1 -2
32.75  100  1 3 -1
33.21  40  2 2 0
33.68  51  3 1 -2
48.91  26  1 1 2
58.11  26  4 0 -4

```
data_MgMn4Cd2O8
_cell_length_a 8.8764
_cell_length_b 9.0901
_cell_length_c 6.3733
_cell_angle_alpha 90.00
_cell_angle_beta 130.96
_cell_angle_gamma 90.00
_space_group_name_H-M_alt 'C 1 2 1'
_space_group_IT_number 5
loop_
_space_group_symop_operation_xyz
'x,y,z'
'-x,y,-z'
'x+1/2,y+1/2,z'
'-x+1/2,y+1/2,-z'
loop_
_atom_site_label
_atom_site_fract_x
_atom_site_fract_y
_atom_site_fract_z
Mg1 0.0000 0.0000 0.0000
Mn1 0.0018 0.2124 0.2803
Mn2 0.2361 0.9062 0.7379
Cd1 0.0000 0.5776 0.5000
Cd2 0.0000 0.6927 0.0000
O1 0.0234 0.8851 0.7606
O2 0.0334 0.4302 0.2483
O3 0.1976 0.1225 0.6909
O4 0.1991 0.1786 0.1916
```

=====

The following is a theoretical X-ray diffraction stick pattern of LaFeSbO6. It was derived from a structure optimized by DFT (GGA+U), using Cu Kα.

The 10 most intense peaks (15° ≤ 2θ ≤ 90°), in order of rising 2θ:
2θ/deg  Rel. int.  (hkl)
19.41  81  1 0 0
31.84  19  0 2 0
31.98  100  1 1 1
37.60  18  1 2 -2
37.72  20  1 0 2
45.74  26  2 2 -2
46.00  14  0 0 4
50.22  13  3 0 -4
56.83  13  1 3 -3
57.00  26  3 1 -5

```
data_LaFeSbO6
_cell_length_a 5.6002
_cell_length_b 5.6207
_cell_length_c 9.6679
_cell_angle_alpha 90.00
_cell_angle_beta 125.28
_cell_angle_gamma 90.00
_space_group_name_H-M_alt 'P 1 c 1'
_space_group_IT_number 7
loop_
_space_group_symop_operation_xyz
'x,y,z'
'x,-y,z+1/2'
loop_
_atom_site_label
_atom_site_fract_x
_atom_site_fract_y
_atom_site_fract_z
La1 0.0000 0.2126 0.0000
Fe1 0.2597 0.2638 0.7528
Sb1 0.7526 0.2622 0.2472
O1 0.0039 0.4632 0.2107
O2 0.0513 0.2322 0.4985
O3 0.4314 0.2556 0.0008
O4 0.5187 0.0201 0.2760
O5 0.5855 0.4610 0.7888
O6 0.9639 0.0119 0.7249
```

=====

The following is a theoretical X-ray diffraction stick pattern of SrLa2Mn3O9. It was derived from a structure optimized by DFT (GGA+U), using Cu Kα.

The 10 most intense peaks (15° ≤ 2θ ≤ 90°), in order of rising 2θ:
2θ/deg  Rel. int.  (hkl)
22.69  11  2 0 1
32.31  100  3 1 0
39.84  19  2 2 1
46.34  35  4 0 2
52.19  6  3 1 3
57.62  38  4 2 2
67.62  20  6 2 0
76.89  11  5 3 -2
77.04  5  7 1 2
85.92  7  4 4 2

```
data_SrLa2Mn3O9
_cell_length_a 9.5915
_cell_length_b 5.5459
_cell_length_c 6.7878
_cell_angle_alpha 90.00
_cell_angle_beta 90.10
_cell_angle_gamma 90.00
_space_group_name_H-M_alt 'C 1 2/m 1'
_space_group_IT_number 12
loop_
_space_group_symop_operation_xyz
'x,y,z'
'-x,-y,-z'
'-x,y,-z'
'x,-y,z'
'x+1/2,y+1/2,z'
'-x+1/2,-y+1/2,-z'
'-x+1/2,y+1/2,-z'
'x+1/2,-y+1/2,z'
loop_
_atom_site_label
_atom_site_fract_x
_atom_site_fract_y
_atom_site_fract_z
Sr1 0.0000 0.0000 0.0000
La1 0.1667 0.5000 0.6671
Mn1 0.0000 0.0000 0.5000
Mn2 0.1667 0.5000 0.1649
O1 0.0000 0.5000 0.0000
O2 0.0848 0.2544 0.3409
O3 0.1693 0.0000 0.6586
O4 0.2500 0.2500 0.0000
```